For LiMn2P2O10, the GGA+U geometry in Alexandria gives the theoretical X-ray powder pattern in this record (λ = 1.5418 Å (Cu Kα)).
Kinematic intensities with the Lorentz-polarization factor, no thermal factor.

```
data_LiMn2P2O10
_cell_length_a 6.748
_cell_length_b 6.992
_cell_length_c 7.941
_cell_angle_alpha 90.20
_cell_angle_beta 91.10
_cell_angle_gamma 117.07
_symmetry_space_group_name_H-M 'P 1'
_symmetry_Int_Tables_number 1
loop_
_symmetry_equiv_pos_as_xyz
'x,y,z'
loop_
_atom_site_label
_atom_site_type_symbol
_atom_site_fract_x
_atom_site_fract_y
_atom_site_fract_z
Li1 Li 0.000 0.000 0.000
Li2 Li 0.500 0.001 0.500
Mn1 Mn 0.049 0.794 0.680
Mn2 Mn 0.052 0.297 0.679
Mn3 Mn 0.549 0.794 0.180
Mn4 Mn 0.551 0.297 0.179
P1 P 0.038 0.553 0.016
P2 P 0.063 0.038 0.347
P3 P 0.538 0.553 0.516
P4 P 0.563 0.038 0.847
O1 O 0.003 0.191 0.449
O2 O 0.026 0.536 0.598
O3 O 0.073 0.055 0.760
O4 O 0.076 0.384 0.914
O5 O 0.166 0.926 0.461
O6 O 0.226 0.153 0.201
O7 O 0.253 0.720 0.106
O8 O 0.358 0.874 0.743
O9 O 0.369 0.444 0.657
O10 O 0.452 0.684 0.403
O11 O 0.503 0.191 0.949
O12 O 0.526 0.536 0.098
O13 O 0.573 0.055 0.260
O14 O 0.576 0.384 0.414
O15 O 0.666 0.925 0.961
O16 O 0.726 0.153 0.701
O17 O 0.753 0.720 0.606
O18 O 0.858 0.874 0.243
O19 O 0.869 0.444 0.157
O20 O 0.952 0.684 0.903
```

Peak list (12 most intense, 15 to 90 degrees two-theta, sorted by position)
- d = 4.845 Å, 2θ 18.3, intensity 33.1
- d = 4.736 Å, 2θ 18.7, intensity 59.5
- d = 4.690 Å, 2θ 18.9, intensity 26.4
- d = 3.969 Å, 2θ 22.4, intensity 21.7
- d = 3.368 Å, 2θ 26.5, intensity 15.3
- d = 3.326 Å, 2θ 26.8, intensity 13.9
- d = 3.240 Å, 2θ 27.5, intensity 12.1
- d = 3.192 Å, 2θ 27.9, intensity 100.0
- d = 3.004 Å, 2θ 29.7, intensity 55.6
- d = 2.466 Å, 2θ 36.4, intensity 12.1
- d = 2.443 Å, 2θ 36.8, intensity 22.5
- d = 1.931 Å, 2θ 47.1, intensity 11.9